Starting from a structure optimized by DFT (PBE+U), the powder diffractogram of SrLaCo2O6 was computed for Cu Kα X-rays.
Neutral-atom scattering factors, no anomalous dispersion.

Peak list (6 most intense, 10 to 80 degrees two-theta, in order of rising 2θ)
2θ (°)  I_rel
32.87  100
40.55  14
47.17  35
58.68  38
68.92  20
78.49  16

Structural model:
```
SrLaCo2O6
1.0
0.000 3.854 3.854
3.854 0.000 3.854
3.854 3.854 0.000
Sr La Co O
1 1 2 6
Direct
0.000 0.000 0.000
0.500 0.500 0.500
0.250 0.250 0.250
0.750 0.750 0.750
0.000 0.000 0.500
0.000 0.500 0.000
0.000 0.500 0.500
0.500 0.000 0.000
0.500 0.000 0.500
0.500 0.500 0.000
```